(1)
Diffraction record for Nd5Sm8Tl. The X-ray diffraction stick pattern is simulated, not measured: it uses a GGA-PBE-relaxed structure and Cu Ka.
No peak broadening, texture or thermal motion is included.

Peak list (6 most intense, 2θ = 5–70°, low angle first)
Position (°2θ)  I (rel.)
26.85  26
26.97  48
31.65  33
31.75  100
32.94  45
33.82  45

Unit cell a=8.7110 b=8.7110 c=8.7110 alpha=103.54 beta=103.54 gamma=122.12
Positions (direct):
Nd (0.0000, 0.0000, 0.0000)
Nd (0.3952, 0.5941, 0.8113)
Nd (0.4059, 0.2172, 0.8011)
Nd (0.4161, 0.6048, 0.1989)
Nd (0.7828, 0.5839, 0.1887)
Sm (0.0790, 0.4200, 0.3392)
Sm (0.0808, 0.7398, 0.6608)
Sm (0.2602, 0.9210, 0.3411)
Sm (0.5314, 0.0487, 0.0836)
Sm (0.5522, 0.4686, 0.5173)
Sm (0.5800, 0.9192, 0.6589)
Sm (0.9513, 0.0349, 0.4827)
Sm (0.9651, 0.4478, 0.9164)
Tl (0.7500, 0.2500, 0.5000)


(2)
Diffraction record for Nd3Sm8Tl. The X-ray diffraction stick pattern is simulated, not measured: it uses a GGA-PBE-relaxed structure and Cu Ka.
No peak broadening, texture or thermal motion is included.

Peak list (6 most intense, 2θ = 5–70°, low angle first)
Position (°2θ)  I (rel.)
24.02  59
28.85  76
31.12  66
36.02  100
42.95  48
44.29  48

Unit cell a=8.4462 b=8.4462 c=8.4462 alpha=117.59 beta=117.59 gamma=94.23
Positions (direct):
Nd (0.0000, 0.0000, 0.0000)
Nd (0.2500, 0.7500, 0.5000)
Nd (0.7500, 0.2500, 0.5000)
Sm (0.1204, 0.3733, 0.0000)
Sm (0.2314, 0.7376, 0.0000)
Sm (0.2624, 0.2624, 0.4938)
Sm (0.3733, 0.1204, 0.0000)
Sm (0.6267, 0.6267, 0.7471)
Sm (0.7376, 0.2314, 0.0000)
Sm (0.7686, 0.7686, 0.5062)
Sm (0.8796, 0.8796, 0.2529)
Tl (0.5000, 0.5000, 0.0000)


(3)
Diffraction record for Nd2Sm4Tl. The X-ray diffraction stick pattern is simulated, not measured: it uses a GGA-PBE-relaxed structure and Cu Ka.
No peak broadening, texture or thermal motion is included.

Peak list (6 most intense, 2θ = 5–70°, low angle first)
Position (°2θ)  I (rel.)
29.87  76
30.72  100
30.94  82
32.47  74
36.48  42
61.14  28

Unit cell a=8.6450 b=8.6450 c=8.7371 alpha=116.41 beta=116.41 gamma=23.77
Positions (direct):
Nd (0.2186, 0.2186, 0.1431)
Nd (0.7814, 0.7814, 0.8569)
Sm (0.0771, 0.0771, 0.7053)
Sm (0.3656, 0.3656, 0.5981)
Sm (0.6344, 0.6344, 0.4019)
Sm (0.9229, 0.9229, 0.2947)
Tl (0.0000, 0.0000, 0.0000)


(4)
Diffraction record for Nd3Sm2Tl2. The X-ray diffraction stick pattern is simulated, not measured: it uses a GGA-PBE-relaxed structure and Cu Ka.
No peak broadening, texture or thermal motion is included.

Peak list (6 most intense, 2θ = 5–70°, low angle first)
Position (°2θ)  I (rel.)
31.11  100
33.01  17
36.73  17
38.30  16
60.84  16
64.83  14

Unit cell a=12.6734 b=12.6734 c=3.5899 alpha=90.00 beta=90.00 gamma=157.74
Positions (direct):
Nd (0.0000, 0.0000, 0.0000)
Nd (0.1399, 0.8601, 0.0000)
Nd (0.8601, 0.1399, 0.0000)
Sm (0.2880, 0.7120, 0.5000)
Sm (0.7120, 0.2880, 0.5000)
Tl (0.4281, 0.5719, 0.5000)
Tl (0.5719, 0.4281, 0.5000)